Record 1
Lu2Al9Rh3: theoretical powder diffractogram (copper Kα), based on a DFT-relaxed cell (GGA-PBE, Alexandria).
Intensities are scaled so that the largest is 100.

Cell and atoms:
a = 12.9636 Å, b = 7.5723 Å, c = 9.4073 Å
α = 90.00°, β = 90.00°, γ = 90.00°
Space group Cmcm (No. 63)
Inequivalent atoms, fractional coordinates:
Lu 0.1613 0.1660 0.2500 x8
Al 0.0000 0.1278 0.7500 x4
Al 0.0000 0.3326 0.0525 x8
Al 0.1058 0.4457 0.7500 x8
Al 0.1677 0.1680 0.5762 x16
Rh 0.0000 0.0000 0.0000 x4
Rh 0.1725 0.5000 0.0000 x8

Top 6 peaks for 10 to 90 degrees two-theta, in order of falling intensity:
| 2θ (°) | I/Imax | h k l |
| --- | --- | --- |
| 30.5 | 100 | 3 1 2 |
| 41.4 | 91 | 3 3 0 |
| 37.4 | 71 | 3 1 3 |
| 25.6 | 61 | 3 1 1 |
| 30.3 | 49 | 0 2 2 |
| 38.3 | 44 | 0 0 4 |



Record 2
La2DyEr2Mg5: theoretical powder diffractogram (copper Kα), based on a DFT-relaxed cell (GGA-PBE, Alexandria).
Intensities are scaled so that the largest is 100.

Cell and atoms:
a = 10.6329 Å, b = 10.6329 Å, c = 5.0970 Å
α = 90.00°, β = 90.00°, γ = 90.00°
Space group P4/mbm (No. 127)
Inequivalent atoms, fractional coordinates:
La 0.1757 0.3243 0.0000 x4
Dy 0.0000 0.0000 0.0000 x2
Er 0.1203 0.6203 0.0000 x4
Mg 0.0000 0.5000 0.5000 x2
Mg 0.0704 0.8011 0.5000 x8

Top 6 peaks for 10 to 90 degrees two-theta, in order of falling intensity:
| 2θ (°) | I/Imax | h k l |
| --- | --- | --- |
| 31.9 | 100 | 3 1 1 |
| 17.4 | 88 | 0 0 1 |
| 35.2 | 68 | 0 0 2 |
| 26.5 | 46 | 3 1 0 |
| 44.6 | 23 | 3 1 2 |
| 29.5 | 20 | 2 2 1 |



Record 3
PmY2: theoretical powder diffractogram (copper Kα), based on a DFT-relaxed cell (GGA-PBE, Alexandria).
Intensities are scaled so that the largest is 100.

Cell and atoms:
a = 3.5998 Å, b = 7.1976 Å, c = 8.0269 Å
α = 103.00°, β = 102.89°, γ = 90.17°
Space group P-1 (No. 2)
Inequivalent atoms, fractional coordinates:
Pm 0.1670 0.0833 0.3337 x2
Y 0.1662 0.5827 0.3325 x2
Y 0.4993 0.7481 0.9992 x2

Top 6 peaks for 10 to 90 degrees two-theta, in order of falling intensity:
| 2θ (°) | I/Imax | h k l |
| --- | --- | --- |
| 30.4 | 100 | 1 0 1 |
| 35.3 | 33 | 0 0 3 |
| 50.7 | 23 | 2 0 -1 |
| 60.4 | 21 | 2 2 0 |
| 35.2 | 17 | 1 -2 0 |
| 60.3 | 14 | 2 -2 1 |



Record 4
Na2Sc2SnO6: theoretical powder diffractogram (copper Kα), based on a DFT-relaxed cell (GGA-PBE, Alexandria).
Intensities are scaled so that the largest is 100.

Cell and atoms:
a = 5.5274 Å, b = 9.5507 Å, c = 5.8975 Å
α = 90.00°, β = 108.16°, γ = 90.00°
Space group C2/m (No. 12)
Inequivalent atoms, fractional coordinates:
Na 0.0000 0.1687 0.0000 x4
Sc 0.0000 0.3346 0.5000 x4
Sn 0.0000 0.0000 0.5000 x2
O 0.2253 0.1690 0.6945 x8
O 0.2437 0.5000 0.6938 x4

Top 6 peaks for 10 to 90 degrees two-theta, in order of falling intensity:
| 2θ (°) | I/Imax | h k l |
| --- | --- | --- |
| 15.8 | 100 | 0 0 1 |
| 39.0 | 91 | 1 3 1 |
| 19.3 | 31 | 1 1 0 |
| 34.2 | 29 | 2 0 0 |
| 32.9 | 28 | 1 3 0 |
| 54.9 | 26 | 2 0 2 |



Record 5
Sc8Si: theoretical powder diffractogram (copper Kα), based on a DFT-relaxed cell (GGA-PBE, Alexandria).
Intensities are scaled so that the largest is 100.

Cell and atoms:
a = 9.7290 Å, b = 9.7290 Å, c = 4.2704 Å
α = 90.00°, β = 90.00°, γ = 90.00°
Space group I4/mmm (No. 139)
Inequivalent atoms, fractional coordinates:
Sc 0.0000 0.3319 0.0000 x8
Sc 0.1566 0.1566 0.5000 x8
Si 0.0000 0.0000 0.0000 x2

Top 6 peaks for 10 to 90 degrees two-theta, in order of falling intensity:
| 2θ (°) | I/Imax | h k l |
| --- | --- | --- |
| 34.7 | 100 | 3 0 1 |
| 39.3 | 34 | 3 3 0 |
| 68.3 | 22 | 6 3 1 |
| 59.1 | 18 | 3 3 2 |
| 42.3 | 14 | 0 0 2 |
| 56.8 | 10 | 6 0 0 |



Record 6
Ho5TlBi2: theoretical powder diffractogram (copper Kα), based on a DFT-relaxed cell (GGA-PBE, Alexandria).
Intensities are scaled so that the largest is 100.

Cell and atoms:
a = 5.7398 Å, b = 11.6710 Å, c = 14.7085 Å
α = 90.00°, β = 90.00°, γ = 90.00°
Space group Cmcm (No. 63)
Inequivalent atoms, fractional coordinates:
Ho 0.0000 0.0719 0.2500 x4
Ho 0.0000 0.1204 0.5494 x8
Ho 0.0000 0.4267 0.5984 x8
Tl 0.0000 0.2148 0.7500 x4
Bi 0.0000 0.2949 0.1160 x8

Top 6 peaks for 10 to 90 degrees two-theta, in order of falling intensity:
| 2θ (°) | I/Imax | h k l |
| --- | --- | --- |
| 33.3 | 100 | 1 3 3 |
| 31.2 | 84 | 2 0 0 |
| 29.9 | 45 | 1 1 4 |
| 56.8 | 24 | 3 3 3 |
| 35.1 | 24 | 1 1 5 |
| 44.7 | 22 | 2 4 1 |